Entry 1:
Simulated XRD peak list
Compound: La5Pm4Dy3
Radiation: Cu Kα X-rays
Structure: the PBE geometry in Alexandria
Peak positions follow from Bragg's law for the DFT cell and can differ from measured ones.

Atomic structure:
Cell lengths 9.7219, 9.7219, 8.9762 Å; angles 117.18, 117.18, 34.93 degrees
Positions (direct):
La1 0.0000 0.0000 0.0000
La2 0.3318 0.3318 0.0897
La3 0.3914 0.3914 0.5703
La4 0.6086 0.6086 0.4297
La5 0.6682 0.6682 0.9103
Pm1 0.0311 0.0311 0.7057
Pm2 0.1986 0.1986 0.6450
Pm3 0.8014 0.8014 0.3550
Pm4 0.9689 0.9689 0.2943
Dy1 0.1824 0.1824 0.2240
Dy2 0.5000 0.5000 0.0000
Dy3 0.8176 0.8176 0.7760

Most intense lines, 2θ from 10° to 90°, low angle first:
2θ 25.65, d = 3.473 Å, I 14; 2θ 28.56, d = 3.125 Å, I 76; 2θ 29.97, d = 2.982 Å, I 100; 2θ 30.10, d = 2.969 Å, I 19; 2θ 30.41, d = 2.940 Å, I 60; 2θ 30.64, d = 2.918 Å, I 79; 2θ 31.46, d = 2.844 Å, I 33; 2θ 33.01, d = 2.714 Å, I 17; 2θ 43.71, d = 2.071 Å, I 45; 2θ 45.66, d = 1.987 Å, I 14; 2θ 54.07, d = 1.696 Å, I 23; 2θ 54.60, d = 1.681 Å, I 14


Entry 2:
Simulated XRD peak list
Compound: Dy2ScPaCo2
Radiation: Cu Kα X-rays
Structure: the PBE geometry in Alexandria
Peak positions follow from Bragg's law for the DFT cell and can differ from measured ones.

Atomic structure:
Cell lengths 7.7984, 7.7984, 7.7984 Å; angles 130.94, 72.78, 129.84 degrees
Positions (direct):
Dy1 0.1951 0.2486 0.4437
Dy2 0.3049 0.7486 0.0536
Dy3 0.6951 0.2514 0.9464
Dy4 0.8049 0.7514 0.5563
Sc1 0.2500 0.7500 0.5000
Sc2 0.7500 0.2500 0.5000
Pa1 0.2500 0.2500 0.0000
Pa2 0.7500 0.7500 0.0000
Co1 0.0894 0.7762 0.8655
Co2 0.4106 0.2762 0.6868
Co3 0.5894 0.7238 0.3132
Co4 0.9106 0.2238 0.1345

Most intense lines, 2θ from 10° to 90°, low angle first:
2θ 15.40, d = 5.755 Å, I 73; 2θ 30.57, d = 2.925 Å, I 82; 2θ 31.08, d = 2.877 Å, I 79; 2θ 31.21, d = 2.866 Å, I 19; 2θ 34.53, d = 2.597 Å, I 93; 2θ 38.94, d = 2.313 Å, I 100; 2θ 47.70, d = 1.907 Å, I 21; 2θ 52.68, d = 1.737 Å, I 28; 2θ 53.35, d = 1.717 Å, I 25; 2θ 65.09, d = 1.433 Å, I 20; 2θ 65.92, d = 1.417 Å, I 35; 2θ 88.63, d = 1.104 Å, I 19